[1]
For Be2Al2Co, a crystal structure in Alexandria, relaxed with PBE gives the calculated powder XRD pattern in this record (copper Kα).
Kinematic intensities with the Lorentz-polarization factor, no thermal factor.

Atomic structure:
```
data_Be2Al2Co
_space_group_name_H-M_alt 'P 4/m b m'
_space_group_IT_number 127
_space_group_name_Hall '-P 4 2ab'
_cell_length_a 5.860
_cell_length_b 5.860
_cell_length_c 3.287
_cell_angle_alpha 90.00
_cell_angle_beta 90.00
_cell_angle_gamma 90.00
loop_
_atom_site_label
_atom_site_type_symbol
_atom_site_fract_x
_atom_site_fract_y
_atom_site_fract_z
Be1 Be 0.126 0.374 0.000
Al1 Al 0.174 0.674 0.500
Co1 Co 0.000 0.000 0.000
```

Peak list (10 most intense, 2θ from 10° to 90°, sorted by position)
Position (°2θ)	I (rel.)
21.45	63
34.22	18
34.84	86
41.28	100
43.69	31
44.20	42
49.17	58
55.95	18
74.52	22
77.66	28


[2]
For Be4AlCr, a crystal structure in Alexandria, relaxed with PBE gives the calculated powder XRD pattern in this record (copper Kα).
Kinematic intensities with the Lorentz-polarization factor, no thermal factor.

Atomic structure:
```
data_Be4AlCr
_space_group_name_H-M_alt 'P -3 m 1'
_space_group_IT_number 164
_space_group_name_Hall '-P 3 2"'
_cell_length_a 4.3266
_cell_length_b 4.3266
_cell_length_c 7.0115
_cell_angle_alpha 90.00
_cell_angle_beta 90.00
_cell_angle_gamma 120.00
loop_
_atom_site_label
_atom_site_type_symbol
_atom_site_fract_x
_atom_site_fract_y
_atom_site_fract_z
Be1 Be 0.0000 0.0000 0.0000
Be2 Be 0.0000 0.0000 0.5000
Be3 Be 0.1683 0.3365 0.2407
Al1 Al 0.3333 0.6667 0.5778
Cr1 Cr 0.3333 0.6667 0.9473
```

Peak list (10 most intense, 2θ from 10° to 90°, sorted by position)
Position (°2θ)	I (rel.)
12.63	75
23.75	63
25.41	37
26.98	58
35.05	34
41.75	92
45.75	100
49.51	78
50.42	29
79.06	35


[3]
For CsBe2AlH8, a crystal structure in Alexandria, relaxed with PBE gives the calculated powder XRD pattern in this record (copper Kα).
Kinematic intensities with the Lorentz-polarization factor, no thermal factor.

Atomic structure:
```
data_CsBe2AlH8
_space_group_name_H-M_alt 'R -3'
_space_group_IT_number 148
_space_group_name_Hall '-R 3'
_cell_length_a 4.4829
_cell_length_b 4.4829
_cell_length_c 25.3347
_cell_angle_alpha 90.00
_cell_angle_beta 90.00
_cell_angle_gamma 120.00
loop_
_atom_site_label
_atom_site_type_symbol
_atom_site_fract_x
_atom_site_fract_y
_atom_site_fract_z
Cs1 Cs 0.0000 0.0000 0.0000
Be1 Be 0.0000 0.0000 0.2255
Al1 Al 0.0000 0.0000 0.5000
H1 H 0.0000 0.0000 0.2809
H2 H 0.0032 0.3938 0.8737
```

Peak list (10 most intense, 2θ from 10° to 90°, sorted by position)
Position (°2θ)	I (rel.)
10.48	70
21.04	45
23.18	51
23.97	89
26.94	100
28.97	34
36.62	37
40.23	32
42.61	24
45.83	41